This entry pairs a crystal structure of Li2VIrO6 with its simulated XRD peak list. Radiation: Cu Kα (λ = 1.5418 Å). Structure: a GGA+U-relaxed structure.
Peak positions follow from Bragg's law for the DFT cell and can differ from measured ones.

Main lines, by intensity (5 to 70 degrees two-theta):
2theta  I_rel  hkl
23.09  100  1 1 0
32.93  73  2 0 0
16.27  55  1 0 0
23.20  53  0 0 1
53.19  40  2 2 1
28.47  32  1 0 1
47.19  24  2 2 0
44.04  22  2 1 1
53.38  21  1 1 2
58.76  19  3 1 1

Structure:
Lattice parameters (Å, degrees): 5.448 5.448 3.834 90.00 90.00 90.00
Atoms (fractional coordinates):
Li 0.000 0.500 0.000
Li 0.500 0.000 0.000
V 0.000 0.000 0.743
Ir 0.500 0.500 0.801
O 0.000 0.000 0.308
O 0.244 0.244 0.822
O 0.244 0.756 0.822
O 0.500 0.500 0.306
O 0.756 0.244 0.822
O 0.756 0.756 0.822